(1)
Structure and simulated powder XRD pattern of CaCrO2 (DFT lattice parameters and positions (GGA+U); λ = 1.5418 Å (Cu Kα)).
Lines closer than 0.1° are merged.

Largest 10 diffraction maxima, low angle first, 5 to 70 degrees two-theta:
(1 0 3), 2θ 28.52, intensity 10
(0 0 4), 2θ 32.96, intensity 89
(2 0 2), 2θ 33.21, intensity 100
(2 2 0), 2θ 41.08, intensity 99
(2 2 4), 2θ 53.65, intensity 72
(2 0 6), 2θ 59.03, intensity 25
(4 0 0), 2θ 59.50, intensity 27
(0 0 8), 2θ 69.14, intensity 6
(4 0 4), 2θ 69.72, intensity 28
(4 2 2), 2θ 69.87, intensity 24

Structural model:
```
data_CaCrO2
_chemical_formula_sum 'Ca8 Cr8 O16'
_space_group_name_H-M_alt 'I 41/a m d'
_space_group_IT_number 141
_cell_length_a 6.2145
_cell_length_b 6.2145
_cell_length_c 10.8687
_cell_angle_alpha 90.00
_cell_angle_beta 90.00
_cell_angle_gamma 90.00
loop_
_space_group_symop_operation_xyz
'x,y,z'
'-x,-y,-z'
'-y+1/4,x+3/4,z+1/4'
'y+1/4,-x+3/4,-z+1/4'
'-x+1/2,-y,z+1/2'
'x+1/2,y,-z+1/2'
'y+1/4,-x+1/4,z+3/4'
'-y+1/4,x+1/4,-z+3/4'
'x,-y,-z'
'-x,y,z'
'-y+1/4,-x+1/4,-z+3/4'
'y+1/4,x+1/4,z+3/4'
'-x+1/2,y,-z+1/2'
'x+1/2,-y,z+1/2'
'y+1/4,x+3/4,-z+1/4'
'-y+1/4,-x+3/4,z+1/4'
'x+1/2,y+1/2,z+1/2'
'-x+1/2,-y+1/2,-z+1/2'
'-y+3/4,x+1/4,z+3/4'
'y+3/4,-x+1/4,-z+3/4'
'-x,-y+1/2,z'
'x,y+1/2,-z'
'y+3/4,-x+3/4,z+1/4'
'-y+3/4,x+3/4,-z+1/4'
'x+1/2,-y+1/2,-z+1/2'
'-x+1/2,y+1/2,z+1/2'
'-y+3/4,-x+3/4,-z+1/4'
'y+3/4,x+3/4,z+1/4'
'-x,y+1/2,-z'
'x,-y+1/2,z'
'y+3/4,x+1/4,-z+3/4'
'-y+3/4,-x+1/4,z+3/4'
loop_
_atom_site_label
_atom_site_type_symbol
_atom_site_fract_x
_atom_site_fract_y
_atom_site_fract_z
Ca1 Ca 0.0000 0.0000 0.0000
Cr1 Cr 0.0000 0.0000 0.5000
O1 O 0.0000 0.0280 0.2224
```

(2)
Structure and simulated powder XRD pattern of CaCr2O4 (DFT lattice parameters and positions (GGA+U); λ = 1.5418 Å (Cu Kα)).
Lines closer than 0.1° are merged.

Largest 10 diffraction maxima, low angle first, 5 to 70 degrees two-theta:
(1 1 1), 2θ 32.00, intensity 26
(0 2 3), 2θ 32.21, intensity 100
(1 1 2), 2θ 35.60, intensity 23
(0 4 0), 2θ 36.49, intensity 19
(1 3 0), 2θ 40.39, intensity 22
(1 3 1), 2θ 41.41, intensity 53
(1 3 2), 2θ 44.35, intensity 51
(1 1 5), 2θ 55.38, intensity 25
(1 5 3), 2θ 62.57, intensity 19
(0 6 3), 2θ 63.00, intensity 18

Structural model:
```
data_CaCr2O4
_chemical_formula_sum 'Ca4 Cr8 O16'
_space_group_name_H-M_alt 'C m c m'
_space_group_IT_number 63
_space_group_name_Hall '-C 2c 2'
_cell_length_a 3.0464
_cell_length_b 9.8503
_cell_length_c 10.0965
_cell_angle_alpha 90.00
_cell_angle_beta 90.00
_cell_angle_gamma 90.00
loop_
_atom_site_label
_atom_site_type_symbol
_atom_site_fract_x
_atom_site_fract_y
_atom_site_fract_z
Ca1 Ca 0.0000 0.1114 0.2500
Cr1 Cr 0.0000 0.3657 0.0686
O1 O 0.0000 0.0000 0.0000
O2 O 0.0000 0.2647 0.6070
O3 O 0.0000 0.4424 0.2500
```

(3)
Structure and simulated powder XRD pattern of CaCr2O4 (DFT lattice parameters and positions (GGA+U); λ = 1.5418 Å (Cu Kα)).
Lines closer than 0.1° are merged.

Largest 10 diffraction maxima, low angle first, 5 to 70 degrees two-theta:
(2 0 0), 2θ 16.09, intensity 66
(4 0 -3), 2θ 30.55, intensity 58
(4 0 0), 2θ 32.51, intensity 100
(1 1 1), 2θ 33.99, intensity 37
(3 1 -1), 2θ 35.00, intensity 45
(6 0 -3), 2θ 39.84, intensity 38
(3 1 -3), 2θ 40.95, intensity 37
(1 1 2), 2θ 41.44, intensity 48
(3 1 1), 2θ 44.23, intensity 36
(3 1 -4), 2θ 48.63, intensity 57

Structural model:
```
data_CaCr2O4
_chemical_formula_sum 'Ca4 Cr8 O16'
_space_group_name_H-M_alt 'C 1 2/m 1'
_space_group_IT_number 12
_space_group_name_Hall '-C 2y'
_cell_length_a 13.7534
_cell_length_b 3.1061
_cell_length_c 9.4388
_cell_angle_alpha 90.00
_cell_angle_beta 126.78
_cell_angle_gamma 90.00
loop_
_atom_site_label
_atom_site_type_symbol
_atom_site_fract_x
_atom_site_fract_y
_atom_site_fract_z
Ca1 Ca 0.1519 0.0000 0.1656
Cr1 Cr 0.1375 0.0000 0.8228
Cr2 Cr 0.1396 0.5000 0.4713
O1 O 0.0410 0.0000 0.3075
O2 O 0.1344 0.5000 0.6871
O3 O 0.1632 0.5000 0.9952
O4 O 0.2382 0.5000 0.3800
```

(4)
Structure and simulated powder XRD pattern of Ca2Cr2O5 (DFT lattice parameters and positions (GGA+U); λ = 1.5418 Å (Cu Kα)).
Lines closer than 0.1° are merged.

Largest 10 diffraction maxima, low angle first, 5 to 70 degrees two-theta:
(2 0 0), 2θ 32.98, intensity 39
(1 2 1), 2θ 33.10, intensity 100
(0 4 0), 2θ 34.92, intensity 36
(0 0 2), 2θ 46.21, intensity 31
(2 4 0), 2θ 48.79, intensity 34
(2 0 2), 2θ 57.93, intensity 13
(3 2 1), 2θ 58.97, intensity 18
(0 4 2), 2θ 59.20, intensity 14
(1 6 1), 2θ 61.47, intensity 21
(2 4 2), 2θ 69.46, intensity 20

Structural model:
```
data_Ca2Cr2O5
_chemical_formula_sum 'Ca4 Cr4 O10'
_space_group_name_H-M_alt 'P b a m'
_space_group_IT_number 55
_space_group_name_Hall '-P 2 2ab'
_cell_length_a 5.4320
_cell_length_b 10.2768
_cell_length_c 3.9293
_cell_angle_alpha 90.00
_cell_angle_beta 90.00
_cell_angle_gamma 90.00
loop_
_atom_site_label
_atom_site_type_symbol
_atom_site_fract_x
_atom_site_fract_y
_atom_site_fract_z
Ca1 Ca 0.2071 0.1221 0.0000
Cr1 Cr 0.2340 0.3685 0.5000
O1 O 0.0000 0.0000 0.5000
O2 O 0.1007 0.7046 0.5000
O3 O 0.2088 0.3927 0.0000
```

(5)
Structure and simulated powder XRD pattern of CaCr2O4 (DFT lattice parameters and positions (GGA+U); λ = 1.5418 Å (Cu Kα)).
Lines closer than 0.1° are merged.

Largest 10 diffraction maxima, low angle first, 5 to 70 degrees two-theta:
(0 2 0), 2θ 23.27, intensity 40
(1 1 2), 2θ 24.17, intensity 24
(2 2 1), 2θ 30.36, intensity 100
(0 2 2), 2θ 30.49, intensity 64
(4 0 0), 2θ 33.54, intensity 29
(2 0 3), 2θ 33.87, intensity 83
(2 1 3), 2θ 35.90, intensity 46
(4 2 2), 2θ 45.95, intensity 31
(3 3 3), 2θ 53.47, intensity 25
(0 0 6), 2θ 60.83, intensity 24

Structural model:
```
data_CaCr2O4
_chemical_formula_sum 'Ca8 Cr16 O32'
_space_group_name_H-M_alt 'P n a 21'
_space_group_IT_number 33
_space_group_name_Hall 'P 2c -2n'
_cell_length_a 10.6873
_cell_length_b 7.6465
_cell_length_c 9.1389
_cell_angle_alpha 90.00
_cell_angle_beta 90.00
_cell_angle_gamma 90.00
loop_
_atom_site_label
_atom_site_type_symbol
_atom_site_fract_x
_atom_site_fract_y
_atom_site_fract_z
Ca1 Ca 0.1106 0.0017 0.0000
Ca2 Ca 0.1823 0.4669 0.0308
Cr1 Cr 0.0852 0.6802 0.6587
Cr2 Cr 0.1197 0.2501 0.6904
Cr3 Cr 0.1227 0.6664 0.3185
Cr4 Cr 0.1672 0.2519 0.3512
O1 O 0.0116 0.4493 0.6420
O2 O 0.0394 0.2527 0.8825
O3 O 0.0572 0.1844 0.2031
O4 O 0.1011 0.1150 0.5128
O5 O 0.1723 0.6520 0.8374
O6 O 0.2051 0.7959 0.1619
O7 O 0.2085 0.7096 0.5064
O8 O 0.2441 0.4780 0.2847
```

(6)
Structure and simulated powder XRD pattern of CaCrO2 (DFT lattice parameters and positions (GGA+U); λ = 1.5418 Å (Cu Kα)).
Lines closer than 0.1° are merged.

Largest 10 diffraction maxima, low angle first, 5 to 70 degrees two-theta:
(0 1 1), 2θ 13.55, intensity 87
(0 0 2), 2θ 19.30, intensity 43
(0 2 0), 2θ 20.12, intensity 37
(0 2 2), 2θ 27.29, intensity 58
(0 3 0), 2θ 30.38, intensity 55
(0 1 -3), 2θ 31.40, intensity 100
(1 -1 0), 2θ 32.74, intensity 56
(1 2 1), 2θ 32.92, intensity 57
(1 -2 3), 2θ 46.72, intensity 38
(1 3 -2), 2θ 46.88, intensity 37

Structural model:
```
data_CaCrO2
_chemical_formula_sum 'Ca4 Cr4 O8'
_space_group_name_H-M_alt 'P -1'
_space_group_IT_number 2
_space_group_name_Hall '-P 1'
_cell_length_a 3.1089
_cell_length_b 8.9653
_cell_length_c 9.3348
_cell_angle_alpha 85.60
_cell_angle_beta 80.52
_cell_angle_gamma 80.38
loop_
_atom_site_label
_atom_site_type_symbol
_atom_site_fract_x
_atom_site_fract_y
_atom_site_fract_z
Ca1 Ca 0.0891 0.1271 0.1913
Ca2 Ca 0.3403 0.2391 0.5693
Cr1 Cr 0.2118 0.1944 0.8768
Cr2 Cr 0.3748 0.4454 0.3003
O1 O 0.0888 0.7104 0.6229
O2 O 0.1753 0.4146 0.7347
O3 O 0.1801 0.8795 0.2729
O4 O 0.3608 0.8092 0.9725
```

(7)
Structure and simulated powder XRD pattern of CaCr2O4 (DFT lattice parameters and positions (GGA+U); λ = 1.5418 Å (Cu Kα)).
Lines closer than 0.1° are merged.

Largest 10 diffraction maxima, low angle first, 5 to 70 degrees two-theta:
(0 1 1), 2θ 17.19, intensity 27
(0 2 0), 2θ 27.77, intensity 26
(1 1 2), 2θ 28.78, intensity 66
(1 2 1), 2θ 33.08, intensity 90
(2 1 1), 2θ 33.79, intensity 100
(0 1 3), 2θ 34.09, intensity 57
(1 0 3), 2θ 34.32, intensity 44
(2 2 0), 2θ 40.48, intensity 42
(2 3 1), 2θ 53.08, intensity 38
(2 2 4), 2θ 59.58, intensity 88

Structural model:
```
data_CaCr2O4
_chemical_formula_sum 'Ca4 Cr8 O16'
_space_group_name_H-M_alt 'I m m a'
_space_group_IT_number 74
_space_group_name_Hall '-I 2b 2'
_cell_length_a 6.1876
_cell_length_b 6.4248
_cell_length_c 8.6478
_cell_angle_alpha 90.00
_cell_angle_beta 90.00
_cell_angle_gamma 90.00
loop_
_atom_site_label
_atom_site_type_symbol
_atom_site_fract_x
_atom_site_fract_y
_atom_site_fract_z
Ca1 Ca 0.0000 0.0000 0.0000
Cr1 Cr 0.0000 0.2500 0.3815
Cr2 Cr 0.2500 0.2500 0.7500
O1 O 0.0000 0.0296 0.7354
O2 O 0.2439 0.2500 0.5136
```

(8)
Structure and simulated powder XRD pattern of CaCr4O8 (DFT lattice parameters and positions (GGA+U); λ = 1.5418 Å (Cu Kα)).
Lines closer than 0.1° are merged.

Largest 10 diffraction maxima, low angle first, 5 to 70 degrees two-theta:
(0 0 3), 2θ 15.83, intensity 100
(1 0 1), 2θ 18.15, intensity 9
(0 0 6), 2θ 31.96, intensity 11
(0 2 1), 2θ 35.56, intensity 17
(2 0 2), 2θ 36.79, intensity 11
(0 2 4), 2θ 41.38, intensity 59
(0 2 7), 2θ 52.32, intensity 15
(2 0 8), 2θ 56.77, intensity 15
(2 2 0), 2θ 63.05, intensity 15
(2 2 3), 2θ 65.46, intensity 9

Structural model:
```
data_CaCr4O8
_chemical_formula_sum 'Ca3 Cr12 O24'
_space_group_name_H-M_alt 'R -3 m'
_space_group_IT_number 166
_space_group_name_Hall '-R 3 2"'
_cell_length_a 5.8975
_cell_length_b 5.8975
_cell_length_c 16.7959
_cell_angle_alpha 90.00
_cell_angle_beta 90.00
_cell_angle_gamma 120.00
loop_
_atom_site_label
_atom_site_type_symbol
_atom_site_fract_x
_atom_site_fract_y
_atom_site_fract_z
Ca1 Ca 0.0000 0.0000 0.0000
Cr1 Cr 0.0000 0.0000 0.5000
Cr2 Cr 0.0000 0.5000 0.5000
O1 O 0.0000 0.0000 0.2231
O2 O 0.0096 0.5048 0.7711
```